For CeTh3Sc3, a crystal structure in Alexandria, relaxed with PBE gives the computed powder diffraction line list in this record (Cu Kα (λ = 1.5418 Å)).

The 10 most intense peaks (10 to 90 degrees two-theta), low angle first:
13.24°, d = 6.685 Å, intensity 48
19.92°, d = 4.457 Å, intensity 22
30.89°, d = 2.895 Å, intensity 81
33.05°, d = 2.710 Å, intensity 100
33.51°, d = 2.674 Å, intensity 40
36.40°, d = 2.469 Å, intensity 78
40.68°, d = 2.218 Å, intensity 39
51.29°, d = 1.781 Å, intensity 21
53.53°, d = 1.712 Å, intensity 33
64.65°, d = 1.442 Å, intensity 36

Atomic structure:
```
CeTh3Sc3
1.0
2.9649 1.7118 13.3699
-2.9649 1.7118 13.3699
0.0000 -3.4235 13.3699
Ce Th Sc
2 6 6
direct
0.1667 0.1667 0.1667
0.8333 0.8333 0.8333
0.1066 0.4338 0.7602
0.2398 0.8934 0.5662
0.4338 0.7602 0.1066
0.5662 0.2398 0.8934
0.7602 0.1066 0.4338
0.8934 0.5662 0.2398
0.0308 0.7005 0.3657
0.2995 0.6343 0.9692
0.3657 0.0308 0.7005
0.6343 0.9692 0.2995
0.7005 0.3657 0.0308
0.9692 0.2995 0.6343
```